Structure and theoretical X-ray diffraction stick pattern of Tl3CdIn4 (a GGA-PBE-relaxed structure; Cu Kα, 1.54184 Å).
Lines closer than 0.1° are merged.

Principal peaks in the range 5 to 70 degrees two-theta, low angle first:
- d = 2.753 Å, I = 97
- d = 2.743 Å, I = 100
- d = 2.636 Å, I = 91
- d = 2.034 Å, I = 17
- d = 1.857 Å, I = 16
- d = 1.610 Å, I = 29
- d = 1.545 Å, I = 27
- d = 1.540 Å, I = 31

Cell lengths 7.430, 7.482, 8.135 Å; angles 90.00, 90.00, 90.00 degrees
Atoms (fractional coordinates):
Tl 0.000 0.020 0.000
Tl 0.243 0.741 0.240
Tl 0.257 0.259 0.740
Tl 0.500 0.980 0.500
Tl 0.743 0.259 0.740
Tl 0.757 0.741 0.240
Cd 0.000 0.484 0.000
Cd 0.500 0.516 0.500
In 0.000 0.545 0.537
In 0.000 0.973 0.532
In 0.224 0.262 0.294
In 0.276 0.738 0.794
In 0.500 0.027 0.032
In 0.500 0.455 0.037
In 0.724 0.738 0.794
In 0.776 0.262 0.294

Structure and theoretical X-ray diffraction stick pattern of TlCdIn2 (a GGA-PBE-relaxed structure; Cu Kα, 1.54184 Å).
Lines closer than 0.1° are merged.

Principal peaks in the range 5 to 70 degrees two-theta, low angle first:
- d = 3.392 Å, I = 6
- d = 2.688 Å, I = 100
- d = 2.677 Å, I = 50
- d = 1.909 Å, I = 9
- d = 1.893 Å, I = 18
- d = 1.554 Å, I = 18
- d = 1.548 Å, I = 37
- d = 1.344 Å, I = 11

Cell lengths 3.787, 3.787, 7.635 Å; angles 90.00, 90.00, 90.00 degrees
Atoms (fractional coordinates):
Tl 0.000 0.000 0.000
Cd 0.500 0.500 0.252
In 0.000 0.000 0.480
In 0.500 0.500 0.730

Structure and theoretical X-ray diffraction stick pattern of TlCd2In10 (a GGA-PBE-relaxed structure; Cu Kα, 1.54184 Å).
Lines closer than 0.1° are merged.

Principal peaks in the range 5 to 70 degrees two-theta, low angle first:
- d = 3.120 Å, I = 39
- d = 2.707 Å, I = 89
- d = 2.695 Å, I = 100
- d = 2.424 Å, I = 17
- d = 2.414 Å, I = 36
- d = 2.408 Å, I = 19
- d = 1.703 Å, I = 21
- d = 1.560 Å, I = 34

Cell lengths 10.828, 8.277, 8.245 Å; angles 81.89, 49.18, 48.92 degrees
Atoms (fractional coordinates):
Tl 0.000 0.000 0.000
Cd 0.000 0.500 0.000
Cd 0.500 0.000 0.500
In 0.000 0.000 0.500
In 0.003 0.353 0.647
In 0.289 0.497 0.503
In 0.353 0.003 0.997
In 0.497 0.289 0.711
In 0.500 0.500 0.000
In 0.503 0.711 0.289
In 0.647 0.997 0.003
In 0.711 0.503 0.497
In 0.997 0.647 0.353

Structure and theoretical X-ray diffraction stick pattern of Tl2Cd5In4 (a GGA-PBE-relaxed structure; Cu Kα, 1.54184 Å).
Lines closer than 0.1° are merged.

Principal peaks in the range 5 to 70 degrees two-theta, low angle first:
- d = 2.817 Å, I = 58
- d = 2.749 Å, I = 60
- d = 2.622 Å, I = 100
- d = 2.539 Å, I = 17
- d = 2.491 Å, I = 85
- d = 2.099 Å, I = 15
- d = 1.679 Å, I = 15
- d = 1.433 Å, I = 23

Cell lengths 10.841, 10.841, 8.446 Å; angles 108.16, 108.16, 17.82 degrees
Atoms (fractional coordinates):
Tl 0.106 0.106 0.449
Tl 0.894 0.894 0.551
Cd 0.000 0.000 0.000
Cd 0.245 0.245 0.342
Cd 0.373 0.373 0.880
Cd 0.627 0.627 0.120
Cd 0.755 0.755 0.658
In 0.185 0.185 0.875
In 0.458 0.458 0.283
In 0.542 0.542 0.717
In 0.815 0.815 0.125

Structure and theoretical X-ray diffraction stick pattern of TlCd3In4 (a GGA-PBE-relaxed structure; Cu Kα, 1.54184 Å).
Lines closer than 0.1° are merged.

Principal peaks in the range 5 to 70 degrees two-theta, low angle first:
- d = 2.911 Å, I = 30
- d = 2.819 Å, I = 18
- d = 2.603 Å, I = 100
- d = 2.537 Å, I = 36
- d = 2.519 Å, I = 36
- d = 1.715 Å, I = 21
- d = 1.470 Å, I = 17
- d = 1.417 Å, I = 21

Cell lengths 10.077, 7.107, 5.872 Å; angles 90.00, 90.00, 90.00 degrees
Atoms (fractional coordinates):
Tl 0.000 0.000 0.000
Tl 0.500 0.000 0.000
Cd 0.000 0.500 0.000
Cd 0.250 0.000 0.365
Cd 0.250 0.500 0.334
Cd 0.500 0.500 0.000
Cd 0.750 0.000 0.635
Cd 0.750 0.500 0.666
In 0.000 0.259 0.500
In 0.000 0.741 0.500
In 0.250 0.260 0.844
In 0.250 0.740 0.844
In 0.500 0.259 0.500
In 0.500 0.741 0.500
In 0.750 0.260 0.156
In 0.750 0.740 0.156

Structure and theoretical X-ray diffraction stick pattern of TlZnCd2In (a GGA-PBE-relaxed structure; Cu Kα, 1.54184 Å).
Lines closer than 0.1° are merged.

Principal peaks in the range 5 to 70 degrees two-theta, low angle first:
- d = 3.685 Å, I = 26
- d = 3.009 Å, I = 100
- d = 2.619 Å, I = 29
- d = 2.599 Å, I = 57
- d = 1.845 Å, I = 41
- d = 1.838 Å, I = 20
- d = 1.568 Å, I = 28
- d = 1.504 Å, I = 21

Cell lengths 5.198, 5.198, 5.238 Å; angles 90.00, 90.00, 90.00 degrees
Atoms (fractional coordinates):
Tl 0.000 0.000 0.000
Zn 0.500 0.500 0.500
Cd 0.000 0.500 0.500
Cd 0.500 0.000 0.500
In 0.500 0.500 0.000

Structure and theoretical X-ray diffraction stick pattern of Tm3CdIn2 (a GGA-PBE-relaxed structure; Cu Kα, 1.54184 Å).
Lines closer than 0.1° are merged.

Principal peaks in the range 5 to 70 degrees two-theta, low angle first:
- d = 3.768 Å, I = 2
- d = 3.681 Å, I = 4
- d = 2.633 Å, I = 100
- d = 2.603 Å, I = 49
- d = 1.884 Å, I = 9
- d = 1.840 Å, I = 17
- d = 1.526 Å, I = 18
- d = 1.509 Å, I = 36

Cell lengths 3.681, 3.681, 11.305 Å; angles 90.00, 90.00, 90.00 degrees
Atoms (fractional coordinates):
Tm 0.000 0.000 0.000
Tm 0.000 0.000 0.338
Tm 0.000 0.000 0.662
Cd 0.500 0.500 0.500
In 0.500 0.500 0.171
In 0.500 0.500 0.829

Structure and theoretical X-ray diffraction stick pattern of TmCd2In3 (a GGA-PBE-relaxed structure; Cu Kα, 1.54184 Å).
Lines closer than 0.1° are merged.

Principal peaks in the range 5 to 70 degrees two-theta, low angle first:
- d = 2.648 Å, I = 100
- d = 2.308 Å, I = 17
- d = 2.301 Å, I = 17
- d = 2.270 Å, I = 16
- d = 1.617 Å, I = 22
- d = 1.389 Å, I = 13
- d = 1.386 Å, I = 13
- d = 1.373 Å, I = 12

Cell lengths 7.296, 7.296, 4.541 Å; angles 90.00, 90.00, 143.22 degrees
Atoms (fractional coordinates):
Tm 0.000 0.000 0.000
Cd 0.330 0.670 0.000
Cd 0.670 0.330 0.000
In 0.169 0.831 0.500
In 0.500 0.500 0.500
In 0.831 0.169 0.500

Structure and theoretical X-ray diffraction stick pattern of Tm4Cd2In (a GGA-PBE-relaxed structure; Cu Kα, 1.54184 Å).
Lines closer than 0.1° are merged.

Principal peaks in the range 5 to 70 degrees two-theta, low angle first:
- d = 3.640 Å, I = 23
- d = 2.794 Å, I = 9
- d = 2.583 Å, I = 100
- d = 2.564 Å, I = 91
- d = 1.820 Å, I = 33
- d = 1.491 Å, I = 18
- d = 1.488 Å, I = 34
- d = 1.477 Å, I = 13

Cell lengths 8.862, 8.862, 8.862 Å; angles 33.90, 33.90, 33.90 degrees
Atoms (fractional coordinates):
Tm 0.117 0.117 0.117
Tm 0.371 0.371 0.371
Tm 0.629 0.629 0.629
Tm 0.883 0.883 0.883
Cd 0.247 0.247 0.247
Cd 0.753 0.753 0.753
In 0.500 0.500 0.500

Structure and theoretical X-ray diffraction stick pattern of VCdIn2 (a GGA-PBE-relaxed structure; Cu Kα, 1.54184 Å).
Lines closer than 0.1° are merged.

Principal peaks in the range 5 to 70 degrees two-theta, low angle first:
- d = 11.857 Å, I = 25
- d = 2.964 Å, I = 87
- d = 2.579 Å, I = 100
- d = 2.448 Å, I = 64
- d = 2.320 Å, I = 70
- d = 2.103 Å, I = 33
- d = 1.820 Å, I = 47
- d = 1.505 Å, I = 33

Cell lengths 11.983, 11.983, 11.983 Å; angles 14.43, 14.43, 14.43 degrees
Atoms (fractional coordinates):
V 0.000 0.000 0.000
Cd 0.500 0.500 0.500
In 0.079 0.079 0.079
In 0.921 0.921 0.921

Structure and theoretical X-ray diffraction stick pattern of CdIn4W (a GGA-PBE-relaxed structure; Cu Kα, 1.54184 Å).
Lines closer than 0.1° are merged.

Principal peaks in the range 5 to 70 degrees two-theta, low angle first:
- d = 4.701 Å, I = 2
- d = 2.879 Å, I = 34
- d = 2.455 Å, I = 100
- d = 2.351 Å, I = 33
- d = 2.036 Å, I = 2
- d = 1.662 Å, I = 13
- d = 1.567 Å, I = 33
- d = 1.440 Å, I = 27

Cell lengths 5.758, 5.758, 5.758 Å; angles 60.00, 60.00, 60.00 degrees
Atoms (fractional coordinates):
Cd 0.000 0.000 0.000
In 0.125 0.625 0.625
In 0.625 0.125 0.625
In 0.625 0.625 0.125
In 0.625 0.625 0.625
W 0.250 0.250 0.250

Structure and theoretical X-ray diffraction stick pattern of YCd2In2 (a GGA-PBE-relaxed structure; Cu Kα, 1.54184 Å).
Lines closer than 0.1° are merged.

Principal peaks in the range 5 to 70 degrees two-theta, low angle first:
- d = 4.217 Å, I = 16
- d = 3.070 Å, I = 33
- d = 2.829 Å, I = 99
- d = 2.237 Å, I = 100
- d = 2.204 Å, I = 35
- d = 1.582 Å, I = 24
- d = 1.570 Å, I = 23
- d = 1.380 Å, I = 20

Cell lengths 7.079, 7.079, 7.079 Å; angles 143.18, 143.18, 53.06 degrees
Atoms (fractional coordinates):
Y 0.000 0.000 0.000
Cd 0.250 0.750 0.500
Cd 0.750 0.250 0.500
In 0.393 0.393 0.000
In 0.607 0.607 0.000

Structure and theoretical X-ray diffraction stick pattern of Y6Cd2In (a GGA-PBE-relaxed structure; Cu Kα, 1.54184 Å).
Lines closer than 0.1° are merged.

Principal peaks in the range 5 to 70 degrees two-theta, low angle first:
- d = 2.792 Å, I = 100
- d = 2.573 Å, I = 41
- d = 2.178 Å, I = 11
- d = 1.819 Å, I = 14
- d = 1.662 Å, I = 19
- d = 1.525 Å, I = 15
- d = 1.523 Å, I = 15
- d = 1.396 Å, I = 10

Cell lengths 10.117, 8.141, 7.021 Å; angles 83.36, 53.06, 43.58 degrees
Atoms (fractional coordinates):
Y 0.012 0.322 0.678
Y 0.322 0.012 0.988
Y 0.344 0.656 0.344
Y 0.656 0.344 0.656
Y 0.678 0.988 0.012
Y 0.988 0.678 0.322
Cd 0.333 0.333 0.667
Cd 0.667 0.667 0.333
In 0.000 0.000 0.000

Structure and theoretical X-ray diffraction stick pattern of Y3CdIn2 (a GGA-PBE-relaxed structure; Cu Kα, 1.54184 Å).
Lines closer than 0.1° are merged.

Principal peaks in the range 5 to 70 degrees two-theta, low angle first:
- d = 3.760 Å, I = 2
- d = 2.659 Å, I = 100
- d = 1.880 Å, I = 18
- d = 1.536 Å, I = 27
- d = 1.532 Å, I = 9

Cell lengths 5.323, 5.323, 12.996 Å; angles 90.00, 90.00, 120.00 degrees
Atoms (fractional coordinates):
Y 0.000 0.000 0.250
Y 0.000 0.000 0.750
Y 0.333 0.667 0.417
Y 0.333 0.667 0.918
Y 0.667 0.333 0.082
Y 0.667 0.333 0.583
Cd 0.333 0.667 0.168
Cd 0.667 0.333 0.832
In 0.000 0.000 0.000
In 0.000 0.000 0.500
In 0.333 0.667 0.671
In 0.667 0.333 0.329